# 1
Diffraction record for Dy2ScHg2. The powder X-ray diffraction pattern is theoretical, not measured: it uses a DFT-relaxed cell (PBE, Alexandria) and a wavelength of 1.5418 Å.
Intensities are scaled so that the largest is 100.

Main lines, by angle (10 to 90 degrees two-theta):
2θ (°), d [Å], I (rel.), h k l
33.52, 2.673, 22, 0 0 5
34.30, 2.614, 100, 1 1 2
34.89, 2.572, 25, 0 2 0
49.16, 1.853, 15, 0 2 5
49.42, 1.844, 12, 2 0 -1
60.44, 1.532, 12, 1 1 7
62.19, 1.493, 18, 1 3 2
72.29, 1.307, 10, 2 2 4

Structural model:
Unit cell a=3.687 b=5.143 c=13.494 alpha=90.00 beta=97.90 gamma=90.00
Space group P2_1/m (No. 11)
Symmetry-distinct sites (fractional):
Dy  0.046  0.250  0.093
Dy  0.236  0.250  0.472
Sc  0.148  0.750  0.297
Hg  0.357  0.750  0.713
Hg  0.447  0.250  0.891

# 2
Diffraction record for CsRbCuTe2. The powder X-ray diffraction pattern is theoretical, not measured: it uses a DFT-relaxed cell (PBE, Alexandria) and a wavelength of 1.5418 Å.
Intensities are scaled so that the largest is 100.

Main lines, by angle (10 to 90 degrees two-theta):
2θ (°), d [Å], I (rel.), h k l
10.53, 8.405, 13, 0 1 0
11.45, 7.729, 28, 0 0 1
21.40, 4.152, 21, 1 1 1
27.35, 3.261, 16, 1 0 2
28.29, 3.155, 100, 1 2 1
29.39, 3.039, 49, 2 0 0
37.67, 2.388, 18, 2 0 2
51.47, 1.775, 19, 3 2 1

Structural model:
Unit cell a=6.075 b=8.405 c=7.729 alpha=90.00 beta=90.00 gamma=90.00
Space group Pmma (No. 51)
Symmetry-distinct sites (fractional):
Cs  0.250  0.000  0.209
Rb  0.250  0.500  0.381
Cu  0.000  0.500  0.000
Te  0.250  0.290  0.818

Number 1 is which compound? Dy2ScHg2

Number 2 is which compound? CsRbCuTe2

Please write out number 1 again, unchanged.
Diffraction record for Dy2ScHg2. The powder X-ray diffraction pattern is theoretical, not measured: it uses a DFT-relaxed cell (PBE, Alexandria) and a wavelength of 1.5418 Å.
Intensities are scaled so that the largest is 100.

Main lines, by angle (10 to 90 degrees two-theta):
2θ (°), d [Å], I (rel.), h k l
33.52, 2.673, 22, 0 0 5
34.30, 2.614, 100, 1 1 2
34.89, 2.572, 25, 0 2 0
49.16, 1.853, 15, 0 2 5
49.42, 1.844, 12, 2 0 -1
60.44, 1.532, 12, 1 1 7
62.19, 1.493, 18, 1 3 2
72.29, 1.307, 10, 2 2 4

Structural model:
Unit cell a=3.687 b=5.143 c=13.494 alpha=90.00 beta=97.90 gamma=90.00
Space group P2_1/m (No. 11)
Symmetry-distinct sites (fractional):
Dy  0.046  0.250  0.093
Dy  0.236  0.250  0.472
Sc  0.148  0.750  0.297
Hg  0.357  0.750  0.713
Hg  0.447  0.250  0.891